1.
Computed powder X-ray diffraction pattern
Compound: Nd2BC
Radiation: a wavelength of 1.5418 Å
Structure: a structure optimized by DFT (GGA-PBE)

Crystal structure
```
data_Nd2BC
_symmetry_space_group_name_H-M 'C 1 2/m 1'
_symmetry_Int_Tables_number 12
_symmetry_space_group_name_Hall '-C 2y'
_cell_length_a 13.2485
_cell_length_b 3.6607
_cell_length_c 9.5696
_cell_angle_alpha 90.00
_cell_angle_beta 131.11
_cell_angle_gamma 90.00
loop_
_atom_site_label
_atom_site_type_symbol
_atom_site_fract_x
_atom_site_fract_y
_atom_site_fract_z
Nd1 Nd 0.0598 0.0000 0.3605
Nd2 Nd 0.2066 0.5000 0.1182
B1 B 0.0755 0.5000 0.6081
C1 C 0.1264 0.5000 0.8018
```

Principal peaks in the range 10 to 90 degrees two-theta, by angle:
- 2θ = 26.07°, rel. 73, (1 1 -1)
- 2θ = 26.95°, rel. 88, (4 0 -2)
- 2θ = 27.63°, rel. 100, (2 0 1)
- 2θ = 28.74°, rel. 93, (2 0 -3)
- 2θ = 31.64°, rel. 85, (1 1 -2)
- 2θ = 32.20°, rel. 88, (3 1 -1)
- 2θ = 36.49°, rel. 39, (3 1 0)
- 2θ = 40.14°, rel. 27, (1 1 2)
- 2θ = 42.37°, rel. 30, (5 1 -2)
- 2θ = 47.03°, rel. 32, (5 1 -4)
- 2θ = 51.06°, rel. 26, (1 1 3)
- 2θ = 57.91°, rel. 26, (2 2 1)

***

2.
Computed powder X-ray diffraction pattern
Compound: LiZnF6
Radiation: a wavelength of 1.5418 Å
Structure: a structure optimized by DFT (GGA-PBE)

Crystal structure
```
data_LiZnF6
_symmetry_space_group_name_H-M 'R -3'
_symmetry_Int_Tables_number 148
_symmetry_space_group_name_Hall '-R 3'
_cell_length_a 5.2223
_cell_length_b 5.2223
_cell_length_c 12.1741
_cell_angle_alpha 90.00
_cell_angle_beta 90.00
_cell_angle_gamma 120.00
loop_
_atom_site_label
_atom_site_type_symbol
_atom_site_fract_x
_atom_site_fract_y
_atom_site_fract_z
Li1 Li 0.0000 0.0000 0.0000
Zn1 Zn 0.0000 0.0000 0.5000
F1 F 0.0009 0.3127 0.4122
```

Principal peaks in the range 10 to 90 degrees two-theta, by angle:
- 2θ = 20.95°, rel. 100, (1 0 1)
- 2θ = 21.90°, rel. 17, (0 0 3)
- 2θ = 24.52°, rel. 80, (0 1 2)
- 2θ = 35.55°, rel. 24, (1 0 4)
- 2θ = 41.11°, rel. 89, (1 1 3)
- 2θ = 42.65°, rel. 14, (2 0 2)
- 2θ = 50.27°, rel. 12, (0 2 4)
- 2θ = 54.18°, rel. 10, (2 1 1)
- 2θ = 55.87°, rel. 14, (1 2 2)
- 2θ = 57.52°, rel. 35, (2 -1 6)
- 2θ = 61.51°, rel. 26, (3 0 0)
- 2θ = 62.30°, rel. 11, (2 1 4)

***

3.
Computed powder X-ray diffraction pattern
Compound: NaAs4BrO6
Radiation: a wavelength of 1.5418 Å
Structure: a structure optimized by DFT (GGA-PBE)

Crystal structure
```
data_NaAs4BrO6
_symmetry_space_group_name_H-M 'P n m a'
_symmetry_Int_Tables_number 62
_symmetry_space_group_name_Hall '-P 2ac 2n'
_cell_length_a 19.5855
_cell_length_b 5.3270
_cell_length_c 8.2136
_cell_angle_alpha 90.00
_cell_angle_beta 90.00
_cell_angle_gamma 90.00
loop_
_atom_site_label
_atom_site_type_symbol
_atom_site_fract_x
_atom_site_fract_y
_atom_site_fract_z
Na1 Na 0.0566 0.2500 0.1011
As1 As 0.0484 0.2500 0.6544
As2 As 0.1146 0.7500 0.8369
As3 As 0.1660 0.7500 0.2098
As4 As 0.1778 0.2500 0.4081
Br1 Br 0.2177 0.2500 0.0041
O1 O 0.0490 0.5018 0.8069
O2 O 0.0963 0.7500 0.0542
O3 O 0.1219 0.0021 0.3233
O4 O 0.1391 0.2500 0.6107
```

Principal peaks in the range 10 to 90 degrees two-theta, by angle:
- 2θ = 21.12°, rel. 100, (4 0 1)
- 2θ = 24.13°, rel. 65, (3 1 1)
- 2θ = 27.81°, rel. 25, (1 1 2)
- 2θ = 28.93°, rel. 42, (2 1 2)
- 2θ = 30.34°, rel. 25, (5 1 1)
- 2θ = 30.71°, rel. 26, (3 1 2)
- 2θ = 32.16°, rel. 69, (6 1 0)
- 2θ = 33.06°, rel. 49, (4 1 2)
- 2θ = 33.65°, rel. 61, (0 2 0)
- 2θ = 35.89°, rel. 22, (5 1 2)
- 2θ = 37.21°, rel. 55, (1 1 3)
- 2θ = 59.20°, rel. 27, (6 3 0)